(1)
Simulated PXRD pattern
Compound: SmGdInCo2
Radiation: Cu Kα X-rays
Structure: a PBE-relaxed structure
No peak broadening, texture or thermal motion is included.

Atomic structure:
```
data_SmGdInCo2
_cell_length_a 3.9475
_cell_length_b 3.8486
_cell_length_c 13.9741
_cell_angle_alpha 90.00
_cell_angle_beta 90.00
_cell_angle_gamma 90.00
_space_group_name_H-M_alt 'A m m 2'
_space_group_IT_number 38
loop_
_space_group_symop_operation_xyz
'x,y,z'
'-x,-y,z'
'-x,y,z'
'x,-y,z'
'x,y+1/2,z+1/2'
'-x,-y+1/2,z+1/2'
'-x,y+1/2,z+1/2'
'x,-y+1/2,z+1/2'
loop_
_atom_site_label
_atom_site_type_symbol
_atom_site_fract_x
_atom_site_fract_y
_atom_site_fract_z
_atom_site_occupancy
Sm1 Sm 0.0000 0.0000 0.0000 1
Gd1 Gd 0.0000 0.0000 0.2739 1
In1 In 0.5000 0.0000 0.6378 1
Co1 Co 0.5000 0.0000 0.4284 1
Co2 Co 0.5000 0.0000 0.8427 1
```

Peak list (12 most intense, 10° ≤ 2θ ≤ 90°, in order of rising 2θ)
2θ = 30.12°, intensity 42.7, hkl 0 1 3; 2θ = 33.14°, intensity 100.0, hkl 1 1 1; 2θ = 34.28°, intensity 81.8, hkl 1 0 4; 2θ = 37.94°, intensity 30.3, hkl 1 1 3; 2θ = 39.86°, intensity 31.8, hkl 0 1 5; 2θ = 45.98°, intensity 24.3, hkl 2 0 0; 2θ = 47.23°, intensity 22.4, hkl 0 2 0; 2θ = 55.95°, intensity 15.2, hkl 2 1 3; 2θ = 56.96°, intensity 15.4, hkl 1 1 7; 2θ = 59.65°, intensity 32.4, hkl 1 2 4; 2θ = 62.45°, intensity 16.2, hkl 2 1 5; 2θ = 71.60°, intensity 15.4, hkl 1 0 10

(2)
Simulated PXRD pattern
Compound: SmGd2In3Co3
Radiation: Cu Kα X-rays
Structure: a PBE-relaxed structure
No peak broadening, texture or thermal motion is included.

Atomic structure:
```
data_SmGd2In3Co3
_cell_length_a 3.8953
_cell_length_b 12.8168
_cell_length_c 7.4110
_cell_angle_alpha 90.00
_cell_angle_beta 90.00
_cell_angle_gamma 90.00
_space_group_name_H-M_alt 'A m m 2'
_space_group_IT_number 38
loop_
_space_group_symop_operation_xyz
'x,y,z'
'-x,-y,z'
'-x,y,z'
'x,-y,z'
'x,y+1/2,z+1/2'
'-x,-y+1/2,z+1/2'
'-x,y+1/2,z+1/2'
'x,-y+1/2,z+1/2'
loop_
_atom_site_label
_atom_site_type_symbol
_atom_site_fract_x
_atom_site_fract_y
_atom_site_fract_z
_atom_site_occupancy
Sm1 Sm 0.0000 0.0000 0.0000 1
Gd1 Gd 0.0000 0.2051 0.3834 1
In1 In 0.5000 0.0000 0.3384 1
In2 In 0.5000 0.1265 0.7135 1
Co1 Co 0.0000 0.0000 0.5878 1
Co2 Co 0.5000 0.1674 0.0889 1
```

Peak list (12 most intense, 10° ≤ 2θ ≤ 90°, in order of rising 2θ)
2θ = 33.39°, intensity 100.0, hkl 1 3 1; 2θ = 36.29°, intensity 72.2, hkl 1 2 2; 2θ = 37.09°, intensity 53.7, hkl 0 5 1; 2θ = 42.28°, intensity 20.9, hkl 0 6 0; 2θ = 44.00°, intensity 11.1, hkl 1 5 1; 2θ = 46.63°, intensity 20.9, hkl 2 0 0; 2θ = 51.37°, intensity 13.1, hkl 0 5 3; 2θ = 56.91°, intensity 23.3, hkl 1 2 4; 2θ = 61.03°, intensity 24.5, hkl 2 5 1; 2θ = 64.75°, intensity 11.2, hkl 2 6 0; 2θ = 68.13°, intensity 23.3, hkl 1 7 3; 2θ = 71.88°, intensity 9.6, hkl 2 5 3

(3)
Simulated PXRD pattern
Compound: TbGd2In3Co3
Radiation: Cu Kα X-rays
Structure: a PBE-relaxed structure
No peak broadening, texture or thermal motion is included.

Atomic structure:
```
data_TbGd2In3Co3
_cell_length_a 3.8696
_cell_length_b 12.7860
_cell_length_c 7.3733
_cell_angle_alpha 90.00
_cell_angle_beta 90.00
_cell_angle_gamma 90.00
_space_group_name_H-M_alt 'A m m 2'
_space_group_IT_number 38
loop_
_space_group_symop_operation_xyz
'x,y,z'
'-x,-y,z'
'-x,y,z'
'x,-y,z'
'x,y+1/2,z+1/2'
'-x,-y+1/2,z+1/2'
'-x,y+1/2,z+1/2'
'x,-y+1/2,z+1/2'
loop_
_atom_site_label
_atom_site_type_symbol
_atom_site_fract_x
_atom_site_fract_y
_atom_site_fract_z
_atom_site_occupancy
Tb1 Tb 0.0000 0.0000 0.0000 1
Gd1 Gd 0.0000 0.2052 0.3849 1
In1 In 0.5000 0.0000 0.3376 1
In2 In 0.5000 0.1256 0.7165 1
Co1 Co 0.0000 0.0000 0.5905 1
Co2 Co 0.5000 0.1664 0.0900 1
```

Peak list (12 most intense, 10° ≤ 2θ ≤ 90°, in order of rising 2θ)
2θ = 33.56°, intensity 100.0, hkl 1 0 2; 2θ = 36.47°, intensity 71.3, hkl 1 4 0; 2θ = 37.23°, intensity 53.1, hkl 0 4 2; 2θ = 42.44°, intensity 21.0, hkl 0 3 3; 2θ = 44.21°, intensity 10.7, hkl 1 1 3; 2θ = 46.96°, intensity 20.6, hkl 2 0 0; 2θ = 51.58°, intensity 13.3, hkl 0 2 4; 2θ = 57.17°, intensity 23.4, hkl 1 5 3; 2θ = 61.40°, intensity 24.1, hkl 2 4 2; 2θ = 65.14°, intensity 11.2, hkl 2 3 3; 2θ = 68.45°, intensity 23.1, hkl 1 1 5; 2θ = 72.30°, intensity 9.7, hkl 2 2 4

(4)
Simulated PXRD pattern
Compound: GdCoSi2Ir2
Radiation: Cu Kα X-rays
Structure: a PBE-relaxed structure
No peak broadening, texture or thermal motion is included.

Atomic structure:
```
data_GdCoSi2Ir2
_cell_length_a 5.5522
_cell_length_b 9.1425
_cell_length_c 3.6574
_cell_angle_alpha 90.00
_cell_angle_beta 90.00
_cell_angle_gamma 90.00
_space_group_name_H-M_alt 'C m m m'
_space_group_IT_number 65
_space_group_name_Hall '-C 2 2'
loop_
_atom_site_label
_atom_site_type_symbol
_atom_site_fract_x
_atom_site_fract_y
_atom_site_fract_z
_atom_site_occupancy
Gd1 Gd 0.0000 0.0000 0.0000 1
Co1 Co 0.0000 0.5000 0.5000 1
Si1 Si 0.0000 0.3468 0.0000 1
Ir1 Ir 0.2500 0.2500 0.5000 1
```

Peak list (12 most intense, 10° ≤ 2θ ≤ 90°, in order of rising 2θ)
2θ = 19.42°, intensity 25.5, hkl 0 2 0; 2θ = 24.34°, intensity 23.6, hkl 0 0 1; 2θ = 30.87°, intensity 35.1, hkl 1 1 1; 2θ = 31.32°, intensity 100.0, hkl 0 2 1; 2θ = 37.92°, intensity 98.4, hkl 2 2 0; 2θ = 39.42°, intensity 40.7, hkl 0 4 0; 2θ = 40.81°, intensity 67.6, hkl 2 0 1; 2θ = 41.88°, intensity 33.1, hkl 1 3 1; 2θ = 45.57°, intensity 32.9, hkl 2 2 1; 2θ = 49.87°, intensity 28.8, hkl 0 0 2; 2θ = 58.04°, intensity 32.7, hkl 2 4 1; 2θ = 64.31°, intensity 42.0, hkl 2 2 2

(5)
Simulated PXRD pattern
Compound: LaGdCo2Si4
Radiation: Cu Kα X-rays
Structure: a PBE-relaxed structure
No peak broadening, texture or thermal motion is included.

Atomic structure:
```
data_LaGdCo2Si4
_cell_length_a 4.0420
_cell_length_b 4.1448
_cell_length_c 16.3997
_cell_angle_alpha 90.00
_cell_angle_beta 90.00
_cell_angle_gamma 90.00
_space_group_name_H-M_alt 'A m m 2'
_space_group_IT_number 38
loop_
_space_group_symop_operation_xyz
'x,y,z'
'-x,-y,z'
'-x,y,z'
'x,-y,z'
'x,y+1/2,z+1/2'
'-x,-y+1/2,z+1/2'
'-x,y+1/2,z+1/2'
'x,-y+1/2,z+1/2'
loop_
_atom_site_label
_atom_site_type_symbol
_atom_site_fract_x
_atom_site_fract_y
_atom_site_fract_z
_atom_site_occupancy
La1 La 0.0000 0.0000 0.0000 1
Gd1 Gd 0.5000 0.0000 0.7840 1
Co1 Co 0.0000 0.0000 0.2125 1
Co2 Co 0.5000 0.0000 0.5742 1
Si1 Si 0.0000 0.0000 0.3477 1
Si2 Si 0.0000 0.0000 0.6451 1
Si3 Si 0.5000 0.0000 0.1449 1
Si4 Si 0.5000 0.0000 0.4340 1
```

Peak list (12 most intense, 10° ≤ 2θ ≤ 90°, in order of rising 2θ)
2θ = 21.68°, intensity 31.1, hkl 0 0 4; 2θ = 24.55°, intensity 29.2, hkl 1 0 2; 2θ = 31.07°, intensity 24.3, hkl 1 0 4; 2θ = 31.39°, intensity 81.8, hkl 1 1 1; 2θ = 34.88°, intensity 75.2, hkl 0 1 5; 2θ = 35.09°, intensity 100.0, hkl 1 1 3; 2θ = 39.81°, intensity 41.3, hkl 1 0 6; 2θ = 43.68°, intensity 35.3, hkl 0 2 0; 2θ = 44.85°, intensity 32.6, hkl 2 0 0; 2θ = 55.05°, intensity 21.9, hkl 0 1 9; 2θ = 58.04°, intensity 33.7, hkl 2 1 5; 2θ = 60.57°, intensity 23.5, hkl 1 2 6

(6)
Simulated PXRD pattern
Compound: Gd4Mg3Co2
Radiation: Cu Kα X-rays
Structure: a PBE-relaxed structure
No peak broadening, texture or thermal motion is included.

Atomic structure:
```
data_Gd4Mg3Co2
_cell_length_a 7.4874
_cell_length_b 3.7415
_cell_length_c 8.1956
_cell_angle_alpha 90.00
_cell_angle_beta 109.60
_cell_angle_gamma 90.00
_space_group_name_H-M_alt 'P 1 2/m 1'
_space_group_IT_number 10
loop_
_space_group_symop_operation_xyz
'x,y,z'
'-x,-y,-z'
'-x,y,-z'
'x,-y,z'
loop_
_atom_site_label
_atom_site_type_symbol
_atom_site_fract_x
_atom_site_fract_y
_atom_site_fract_z
_atom_site_occupancy
Gd1 Gd 0.0974 0.0000 0.2271 1
Gd2 Gd 0.3976 0.0000 0.6797 1
Mg1 Mg 0.0000 0.5000 0.5000 1
Mg2 Mg 0.2925 0.5000 0.0024 1
Co1 Co 0.3508 0.5000 0.3936 1
```

Peak list (12 most intense, 10° ≤ 2θ ≤ 90°, in order of rising 2θ)
2θ = 11.46°, intensity 40.3, hkl 0 0 1; 2θ = 13.88°, intensity 55.5, hkl 1 0 -1; 2θ = 23.04°, intensity 47.2, hkl 0 0 2; 2θ = 23.78°, intensity 50.4, hkl 0 1 0; 2θ = 23.97°, intensity 50.5, hkl 2 0 -1; 2θ = 31.22°, intensity 44.2, hkl 2 0 1; 2θ = 32.79°, intensity 36.7, hkl 1 0 -3; 2θ = 33.35°, intensity 89.8, hkl 0 1 2; 2θ = 34.02°, intensity 100.0, hkl 2 1 -1; 2θ = 39.62°, intensity 58.4, hkl 2 1 1; 2θ = 40.92°, intensity 33.6, hkl 1 1 -3; 2θ = 48.67°, intensity 28.9, hkl 0 2 0